This entry pairs a crystal structure of Ca2Al5Cu3 with its computed PXRD pattern. Radiation: Cu Kα. Structure: a crystal structure in Alexandria, relaxed with PBE.
Peak positions follow from Bragg's law for the DFT cell and can differ from measured ones.

Main lines, in order of rising 2θ (10 to 90 degrees two-theta):
d_spacing	2theta	Rel. int.	index
2.698	33.20	88.5	1 0 3
2.618	34.25	100.0	1 1 2
2.141	42.21	89.5	2 0 0
1.975	45.95	46.0	1 1 4
1.677	54.73	38.6	2 1 3
1.514	61.23	27.8	2 2 0

Structure:
abc: 4.2816 4.2816 10.4253
angles: 90.00 90.00 90.00
Fractional positions:
Ca 0.0000 0.5000 0.2363
Ca 0.5000 0.0000 0.7637
Al 0.0000 0.0000 0.5000
Al 0.0000 0.5000 0.6555
Al 0.5000 0.0000 0.3445
Al 0.5000 0.5000 0.0000
Al 0.5000 0.5000 0.5000
Cu 0.0000 0.0000 0.0000
Cu 0.0000 0.5000 0.8854
Cu 0.5000 0.0000 0.1146